For NbInFe2O6, a PBE+U-relaxed structure gives the theoretical X-ray powder pattern in this record (λ = 1.5418 Å (Cu Kα)).
Neutral-atom scattering factors, no anomalous dispersion.

Largest 10 diffraction maxima, in order of rising 2θ, 15° ≤ 2θ ≤ 90°:
(1 1 0), 2θ = 22.66°, rel. 57; (0 1 1), 2θ = 22.77°, rel. 28; (0 1 -1), 2θ = 31.11°, rel. 60; (1 0 -1), 2θ = 31.40°, rel. 59; (1 1 2), 2θ = 31.53°, rel. 57; (1 -1 0), 2θ = 33.20°, rel. 100; (2 1 1), 2θ = 33.39°, rel. 48; (2 0 2), 2θ = 46.28°, rel. 47; (1 -1 2), 2θ = 50.57°, rel. 26; (-1 1 2), 2θ = 51.09°, rel. 23

Cell and atoms:
```
data_NbInFe2O6
_symmetry_space_group_name_H-M 'P 1'
_symmetry_Int_Tables_number 1
_cell_length_a 5.3674
_cell_length_b 5.3905
_cell_length_c 5.6977
_cell_angle_alpha 62.61
_cell_angle_beta 62.16
_cell_angle_gamma 60.29
loop_
_symmetry_equiv_pos_as_xyz
'x,y,z'
loop_
_atom_site_label
_atom_site_type_symbol
_atom_site_fract_x
_atom_site_fract_y
_atom_site_fract_z
_atom_site_occupancy
Nb1 Nb 0.0000 0.0000 0.0000 1
In1 In 0.5059 0.4977 0.4933 1
Fe1 Fe 0.2950 0.2816 0.1408 1
Fe2 Fe 0.7961 0.7904 0.6252 1
O1 O 0.0856 0.7274 0.8113 1
O2 O 0.2052 0.6026 0.2912 1
O3 O 0.3680 0.0937 0.8232 1
O4 O 0.6184 0.8883 0.3121 1
O5 O 0.7300 0.3616 0.8126 1
O6 O 0.9014 0.1877 0.2985 1
```



For InFeO3, a PBE+U-relaxed structure gives the theoretical X-ray powder pattern in this record (λ = 1.5418 Å (Cu Kα)).
Neutral-atom scattering factors, no anomalous dispersion.

Largest 10 diffraction maxima, in order of rising 2θ, 15° ≤ 2θ ≤ 90°:
(0 2 1), 2θ = 21.50°, rel. 33; (0 4 1), 2θ = 31.03°, rel. 87; (1 1 1), 2θ = 31.62°, rel. 100; (1 3 0), 2θ = 32.05°, rel. 37; (0 0 2), 2θ = 34.94°, rel. 24; (1 3 2), 2θ = 48.14°, rel. 43; (2 0 0), 2θ = 52.34°, rel. 18; (1 5 2), 2θ = 55.29°, rel. 18; (1 7 1), 2θ = 56.12°, rel. 15; (2 4 1), 2θ = 62.11°, rel. 22

Cell and atoms:
```
data_InFeO3
_symmetry_space_group_name_H-M 'C m c 21'
_symmetry_Int_Tables_number 36
_cell_length_a 3.4957
_cell_length_b 13.9271
_cell_length_c 5.1363
_cell_angle_alpha 90.00
_cell_angle_beta 90.00
_cell_angle_gamma 90.00
loop_
_symmetry_equiv_pos_as_xyz
'x,y,z'
'-x,-y,z+1/2'
'-x,y,z'
'x,-y,z+1/2'
'x+1/2,y+1/2,z'
'-x+1/2,-y+1/2,z+1/2'
'-x+1/2,y+1/2,z'
'x+1/2,-y+1/2,z+1/2'
loop_
_atom_site_label
_atom_site_type_symbol
_atom_site_fract_x
_atom_site_fract_y
_atom_site_fract_z
_atom_site_occupancy
In1 In 0.0000 0.1682 0.0000 1
Fe1 Fe 0.0000 0.4294 0.9460 1
O1 O 0.0000 0.0587 0.2995 1
O2 O 0.0000 0.2931 0.7661 1
O3 O 0.0000 0.4053 0.3128 1
```



For InFe2SnO6, a PBE+U-relaxed structure gives the theoretical X-ray powder pattern in this record (λ = 1.5418 Å (Cu Kα)).
Neutral-atom scattering factors, no anomalous dispersion.

Largest 10 diffraction maxima, in order of rising 2θ, 15° ≤ 2θ ≤ 90°:
(1 0 0), 2θ = 22.66°, rel. 20; (-1 1 1), 2θ = 22.81°, rel. 40; (1 -1 1), 2θ = 31.51°, rel. 77; (1 0 -2), 2θ = 31.72°, rel. 38; (1 1 -1), 2θ = 33.21°, rel. 100; (0 2 -2), 2θ = 46.59°, rel. 30; (1 1 1), 2θ = 51.03°, rel. 17; (-1 2 2), 2θ = 51.25°, rel. 17; (-2 1 3), 2θ = 51.46°, rel. 17; (3 0 -2), 2θ = 59.31°, rel. 23

Cell and atoms:
```
data_InFe2SnO6
_symmetry_space_group_name_H-M 'P 1'
_symmetry_Int_Tables_number 1
_cell_length_a 5.3917
_cell_length_b 5.3943
_cell_length_c 5.6569
_cell_angle_alpha 90.04
_cell_angle_beta 118.06
_cell_angle_gamma 119.91
loop_
_symmetry_equiv_pos_as_xyz
'x,y,z'
loop_
_atom_site_label
_atom_site_type_symbol
_atom_site_fract_x
_atom_site_fract_y
_atom_site_fract_z
_atom_site_occupancy
In1 In 0.0000 0.0000 0.0000 1
Fe1 Fe 0.5698 0.7867 0.3534 1
Fe2 Fe 0.5791 0.2893 0.8675 1
Sn1 Sn 0.9971 0.4977 0.4932 1
O1 O 0.0712 0.3982 0.1752 1
O2 O 0.1138 0.2101 0.6832 1
O3 O 0.4742 0.9013 0.6789 1
O4 O 0.5023 0.1030 0.1816 1
O5 O 0.7783 0.6755 0.1797 1
O6 O 0.7791 0.5736 0.6804 1
```



For InFe2WO6, a PBE+U-relaxed structure gives the theoretical X-ray powder pattern in this record (λ = 1.5418 Å (Cu Kα)).
Neutral-atom scattering factors, no anomalous dispersion.

Largest 10 diffraction maxima, in order of rising 2θ, 15° ≤ 2θ ≤ 90°:
(0 1 0), 2θ = 22.43°, rel. 42; (1 0 -1), 2θ = 22.71°, rel. 38; (1 -1 1), 2θ = 22.92°, rel. 40; (-1 1 1), 2θ = 31.22°, rel. 100; (0 1 -2), 2θ = 31.64°, rel. 49; (1 1 -1), 2θ = 33.07°, rel. 46; (2 -1 0), 2θ = 33.29°, rel. 90; (1 1 1), 2θ = 50.41°, rel. 27; (2 -1 2), 2θ = 51.17°, rel. 24; (0 3 -2), 2θ = 59.21°, rel. 29

Cell and atoms:
```
data_InFe2WO6
_symmetry_space_group_name_H-M 'P 1'
_symmetry_Int_Tables_number 1
_cell_length_a 5.3800
_cell_length_b 5.3857
_cell_length_c 5.6764
_cell_angle_alpha 117.33
_cell_angle_beta 90.52
_cell_angle_gamma 119.57
loop_
_symmetry_equiv_pos_as_xyz
'x,y,z'
loop_
_atom_site_label
_atom_site_type_symbol
_atom_site_fract_x
_atom_site_fract_y
_atom_site_fract_z
_atom_site_occupancy
In1 In 0.0000 0.0000 0.0000 1
Fe1 Fe 0.1981 0.4173 0.6308 1
Fe2 Fe 0.7097 0.4178 0.1414 1
W1 W 0.5061 0.0092 0.5205 1
O1 O 0.1279 0.5327 0.3234 1
O2 O 0.2919 0.1804 0.7783 1
O3 O 0.4046 0.1809 0.3043 1
O4 O 0.5981 0.9049 0.8003 1
O5 O 0.7529 0.8998 0.3130 1
O6 O 0.8767 0.4929 0.8115 1
```



Copy entry 2 word for word.
For InFeO3, a PBE+U-relaxed structure gives the theoretical X-ray powder pattern in this record (λ = 1.5418 Å (Cu Kα)).
Neutral-atom scattering factors, no anomalous dispersion.

Largest 10 diffraction maxima, in order of rising 2θ, 15° ≤ 2θ ≤ 90°:
(0 2 1), 2θ = 21.50°, rel. 33; (0 4 1), 2θ = 31.03°, rel. 87; (1 1 1), 2θ = 31.62°, rel. 100; (1 3 0), 2θ = 32.05°, rel. 37; (0 0 2), 2θ = 34.94°, rel. 24; (1 3 2), 2θ = 48.14°, rel. 43; (2 0 0), 2θ = 52.34°, rel. 18; (1 5 2), 2θ = 55.29°, rel. 18; (1 7 1), 2θ = 56.12°, rel. 15; (2 4 1), 2θ = 62.11°, rel. 22

Cell and atoms:
```
data_InFeO3
_symmetry_space_group_name_H-M 'C m c 21'
_symmetry_Int_Tables_number 36
_cell_length_a 3.4957
_cell_length_b 13.9271
_cell_length_c 5.1363
_cell_angle_alpha 90.00
_cell_angle_beta 90.00
_cell_angle_gamma 90.00
loop_
_symmetry_equiv_pos_as_xyz
'x,y,z'
'-x,-y,z+1/2'
'-x,y,z'
'x,-y,z+1/2'
'x+1/2,y+1/2,z'
'-x+1/2,-y+1/2,z+1/2'
'-x+1/2,y+1/2,z'
'x+1/2,-y+1/2,z+1/2'
loop_
_atom_site_label
_atom_site_type_symbol
_atom_site_fract_x
_atom_site_fract_y
_atom_site_fract_z
_atom_site_occupancy
In1 In 0.0000 0.1682 0.0000 1
Fe1 Fe 0.0000 0.4294 0.9460 1
O1 O 0.0000 0.0587 0.2995 1
O2 O 0.0000 0.2931 0.7661 1
O3 O 0.0000 0.4053 0.3128 1
```